(1)
CeGa3Pt: calculated powder XRD pattern (Cu Kα), based on the PBE geometry in the Materials Project.

Most intense lines, 10 to 80 degrees two-theta, by angle:
2θ (°)  I/Imax
22.6  23
32.7  40
34.3  100
42.8  46
45.4  18
47.4  20
54.9  18
72.9  22

a = 4.2259 Å, b = 4.2259 Å, c = 10.7647 Å
α = 90.00°, β = 90.00°, γ = 90.00°
Space group I-4m2 (No. 119)
One atom of each set of equivalent atoms:
Ce: 0.0000 0.0000 0.0000
Ga: 0.0000 0.0000 0.3854
Ga: 0.0000 0.5000 0.2500
Pt: 0.0000 0.5000 0.7500

(2)
CeGaRh: calculated powder XRD pattern (Cu Kα), based on the PBE geometry in the Materials Project.

Most intense lines, 10 to 80 degrees two-theta, by angle:
2θ (°)  I/Imax
33.5  93
34.5  100
38.6  45
38.8  58
41.0  21
43.8  28
55.9  30
69.3  23

a = 7.4241 Å, b = 4.6462 Å, c = 6.9144 Å
α = 90.00°, β = 90.00°, γ = 90.00°
Space group Pnma (No. 62)
One atom of each set of equivalent atoms:
Ce: 0.0291 0.2500 0.1760
Ga: 0.1926 0.2500 0.6093
Rh: 0.1519 0.7500 0.4389

(3)
Ce3Ga2Rh2: calculated powder XRD pattern (Cu Kα), based on the PBE geometry in the Materials Project.

Most intense lines, 10 to 80 degrees two-theta, by angle:
2θ (°)  I/Imax
29.7  28
33.1  57
33.8  50
33.9  46
34.7  78
36.7  86
39.7  100
40.5  39

a = 5.5810 Å, b = 8.1686 Å, c = 13.3704 Å
α = 90.00°, β = 90.00°, γ = 90.00°
Space group Pbcm (No. 57)
One atom of each set of equivalent atoms:
Ce: 0.1374 0.2413 0.2500
Ce: 0.3365 0.6016 0.0966
Ga: 0.1661 0.2500 0.0000
Ga: 0.3677 0.6074 0.7500
Rh: 0.1216 0.5346 0.5935

(4)
Ce2Ga9Rh3: calculated powder XRD pattern (Cu Kα), based on the PBE geometry in the Materials Project.

Most intense lines, 10 to 80 degrees two-theta, by angle:
2θ (°)  I/Imax
30.0  20
36.8  100
37.0  16
37.9  19
40.7  71
40.9  30
44.9  15
63.6  14

a = 13.2452 Å, b = 7.6849 Å, c = 9.4929 Å
α = 90.00°, β = 90.00°, γ = 90.00°
Space group Cmcm (No. 63)
One atom of each set of equivalent atoms:
Ce: 0.1646 0.1669 0.2500
Ga: 0.0000 0.1273 0.7500
Ga: 0.0000 0.3341 0.0624
Ga: 0.1032 0.4413 0.7500
Ga: 0.1663 0.1679 0.5778
Rh: 0.0000 0.0000 0.0000
Rh: 0.1711 0.5000 0.0000